For Fe3OF5, the GGA+U geometry in Alexandria gives the computed X-ray diffraction stick pattern in this record (copper Kα).
Intensities are scaled so that the largest is 100.

Crystal structure
abc: 9.325 6.878 7.295
angles: 90.00 109.54 90.00
Space group C2/m (No. 12)
Asymmetric unit:
Fe  0.000  0.000  0.000 x2
Fe  0.000  0.000  0.500 x2
Fe  0.163  0.500  0.171 x4
Fe  0.186  0.500  0.656 x4
O  0.080  0.000  0.285 x4
F  0.000  0.298  0.000 x4
F  0.052  0.500  0.360 x4
F  0.167  0.196  0.652 x8
F  0.225  0.000  0.026 x4

Top 10 peaks for 5 to 70 degrees two-theta, sorted by position:
Position (°2θ), I/Imax
25.9, 100.0
27.1, 88.9
33.2, 53.1
33.6, 57.3
50.6, 33.4
50.8, 37.5
51.6, 26.2
52.4, 28.3
65.2, 20.6
65.9, 21.5

For Na4WN2O2, the GGA+U geometry in Alexandria gives the computed X-ray diffraction stick pattern in this record (copper Kα).
Intensities are scaled so that the largest is 100.

Crystal structure
abc: 5.918 5.952 9.064
angles: 83.35 71.43 69.72
Space group P-1 (No. 2)
Asymmetric unit:
Na  0.021  0.256  0.449 x2
Na  0.114  0.722  0.188 x2
Na  0.259  0.236  0.015 x2
Na  0.445  0.242  0.594 x2
W  0.342  0.718  0.765 x2
N  0.201  0.962  0.642 x2
N  0.340  0.458  0.354 x2
O  0.142  0.512  0.819 x2
O  0.351  0.841  0.947 x2

Top 10 peaks for 5 to 70 degrees two-theta, sorted by position:
Position (°2θ), I/Imax
16.8, 49.2
18.9, 100.0
19.0, 45.5
20.7, 30.7
22.2, 34.1
24.0, 32.3
31.8, 27.3
32.3, 34.2
37.1, 28.1
37.4, 25.7